The following is a simulated powder XRD pattern of YCr3O9. It was derived from a DFT-relaxed cell (PBE+U, Alexandria), using Cu Kα (weighted mean of Kα1 and Kα2).
Intensities are scaled so that the largest is 100.

Structure:
Cell: 3.709 3.709 11.429 Å, 90.00 90.00 90.00°
Sites, in units of the cell vectors:
Y1 0.000 0.000 0.000
Cr1 0.500 0.500 0.181
Cr2 0.500 0.500 0.500
Cr3 0.500 0.500 0.819
O1 0.000 0.500 0.144
O2 0.000 0.500 0.500
O3 0.000 0.500 0.856
O4 0.500 0.000 0.144
O5 0.500 0.000 0.500
O6 0.500 0.000 0.856
O7 0.500 0.500 0.000
O8 0.500 0.500 0.325
O9 0.500 0.500 0.675

The 12 most intense peaks (2θ from 5° to 70°), low angle first:
d [Å]	I (rel.)	h k l
11.429	100	0 0 1
5.714	22	0 0 2
3.810	14	0 0 3
3.709	30	1 0 0
3.528	31	1 0 1
3.111	28	1 0 2
2.658	60	1 0 3
2.623	30	1 1 0
1.932	14	1 1 4
1.905	17	0 0 6
1.855	37	2 0 0
1.521	21	2 1 3